Starting from a structure optimized by DFT (PBE), the X-ray powder pattern of K2NpFeS4 was computed for Cu Kα X-rays.

Largest 10 diffraction maxima, by angle, 15 to 90 degrees two-theta:
(1 1 0), d = 5.718 Å, I 40.9
(1 0 1), d = 5.620 Å, I 39.1
(0 1 1), d = 5.313 Å, I 98.7
(0 2 0), d = 3.815 Å, I 28.6
(0 0 2), d = 3.701 Å, I 45.2
(2 1 1), d = 3.351 Å, I 100.0
(2 2 1), d = 2.667 Å, I 27.7
(0 2 2), d = 2.656 Å, I 46.7
(2 3 1), d = 2.101 Å, I 25.7
(2 1 3), d = 2.062 Å, I 26.5

Crystal structure
```
16
Lattice="8.635 0.000 0.000 0.000 7.630 0.000 0.000 0.000 7.401" Properties=species:S:1:pos:R:3 pbc="T T T"
K 2.143 1.754 0.000
K 2.175 5.876 3.701
K 6.460 5.876 3.701
K 6.492 1.754 0.000
Np 0.000 6.010 7.242
Np 4.318 1.621 3.542
Fe 0.000 1.489 3.533
Fe 4.318 6.142 7.233
S 0.000 0.160 5.408
S 0.000 7.549 1.868
S 1.916 2.691 3.364
S 2.401 4.939 7.065
S 4.318 0.081 5.569
S 4.318 7.470 1.708
S 6.234 4.939 7.065
S 6.719 2.691 3.364
```